# ZnNi4O8
Computed X-ray diffraction stick pattern, a wavelength of 1.5418 Å. Input: a structure optimized by DFT (PBE+U).
No peak broadening, texture or thermal motion is included.

Largest 10 diffraction maxima, in order of falling intensity, 10 to 90 degrees two-theta:
| 2θ/deg | d [Å] | I_rel |
| --- | --- | --- |
| 17.7 | 5.004 | 1000 |
| 43.9 | 2.064 | 977 |
| 38.4 | 2.347 | 319 |
| 18.9 | 4.694 | 319 |
| 62.1 | 1.494 | 265 |
| 65.4 | 1.427 | 259 |
| 36.9 | 2.438 | 255 |
| 21.5 | 4.127 | 161 |
| 35.9 | 2.502 | 153 |
| 56.8 | 1.620 | 152 |

a = 5.9910 Å, b = 5.9910 Å, c = 5.9910 Å
α = 56.88°, β = 56.88°, γ = 56.88°
Fractional positions:
Zn: 0.0000 0.0000 0.0000
Ni: 0.0000 0.0000 0.5000
Ni: 0.0000 0.5000 0.0000
Ni: 0.5000 0.0000 0.0000
Ni: 0.5000 0.5000 0.5000
O: 0.2084 0.7468 0.7468
O: 0.2300 0.2300 0.2300
O: 0.2532 0.2532 0.7916
O: 0.2532 0.7916 0.2532
O: 0.7468 0.2084 0.7468
O: 0.7468 0.7468 0.2084
O: 0.7700 0.7700 0.7700
O: 0.7916 0.2532 0.2532